PtIBr3: calculated powder XRD pattern (Cu Kα, 1.54184 Å), based on DFT lattice parameters and positions (PBE).
No peak broadening, texture or thermal motion is included.

Cell and atoms:
Cell: 7.369 15.762 6.522 Å, 90.00 98.47 90.00°
Space group Cc (No. 9)
Unique sites:
1 Pt 0.000 0.059 0.000 (multiplicity 4)
2 I 0.280 0.321 0.610 (multiplicity 4)
3 Br 0.193 0.060 0.349 (multiplicity 4)
4 Br 0.207 0.170 0.888 (multiplicity 4)
5 Br 0.308 0.443 0.150 (multiplicity 4)

Top 10 peaks for 2θ = 10–90°, sorted by position:
11.23°, intensity 22.1, (0 2 0)
13.38°, intensity 100.0, (1 1 0)
17.77°, intensity 31.3, (0 2 1)
20.47°, intensity 15.8, (1 1 1)
24.01°, intensity 29.5, (1 3 -1)
32.47°, intensity 28.8, (1 1 2)
33.19°, intensity 20.0, (1 5 -1)
34.89°, intensity 45.2, (2 4 -1)
43.59°, intensity 16.2, (3 1 -2)
48.21°, intensity 12.9, (0 4 3)